Computed powder diffractogram of La9B3C6I5 for copper Kα, from a cell relaxed with GGA-PBE.

Peak list (6 most intense, 2θ from 5° to 70°, low angle first)
| (hkl) | Position (°2θ) | Rel. int. |
| --- | --- | --- |
| 1 3 0 | 23.70 | 63 |
| 0 7 2 | 28.32 | 72 |
| 0 10 1 | 28.46 | 100 |
| 1 6 1 | 29.49 | 100 |
| 1 7 1 | 31.01 | 74 |
| 1 4 2 | 32.91 | 90 |

Crystal structure
```
data_La9B3C6I5
_chemical_formula_sum 'La18 B6 C12 I10'
_symmetry_space_group_name_H-M 'P m m n'
_symmetry_Int_Tables_number 59
_cell_length_a 3.980
_cell_length_b 33.863
_cell_length_c 8.308
_cell_angle_alpha 90.00
_cell_angle_beta 90.00
_cell_angle_gamma 90.00
loop_
_symmetry_equiv_pos_as_xyz
'x,y,z'
'-x,-y,-z'
'-x+1/2,-y+1/2,z'
'x+1/2,y+1/2,-z'
'x+1/2,-y,-z'
'-x+1/2,y,z'
'-x,y+1/2,-z'
'x,-y+1/2,z'
loop_
_atom_site_label
_atom_site_fract_x
_atom_site_fract_y
_atom_site_fract_z
La1 0.250 0.009 0.184
La2 0.250 0.095 0.923
La3 0.250 0.134 0.337
La4 0.250 0.694 0.946
La5 0.250 0.750 0.565
B1 0.250 0.250 0.222
B2 0.250 0.580 0.870
C1 0.250 0.207 0.264
C2 0.250 0.543 0.970
C3 0.250 0.624 0.867
I1 0.250 0.049 0.570
I2 0.250 0.250 0.792
I3 0.250 0.653 0.330
```